1.
Diffraction record for Cs6Rb2Hg. The powder XRD pattern is calculated, not measured: it uses a DFT-relaxed cell (GGA-PBE, Alexandria) and copper Kα.
Kinematic intensities with the Lorentz-polarization factor, no thermal factor.

Top 6 peaks for 2θ from 10° to 90°, low angle first:
- d = 4.311 Å, 20.60 deg, I = 68.3
- d = 4.244 Å, 20.93 deg, I = 100.0
- d = 3.977 Å, 22.35 deg, I = 93.1
- d = 3.802 Å, 23.40 deg, I = 63.3
- d = 3.405 Å, 26.17 deg, I = 87.2
- d = 2.367 Å, 38.02 deg, I = 53.8

Structural model:
Lattice parameters (Å, degrees): 13.171 13.171 5.550 90.00 90.00 120.00
Fractional positions:
Cs: 0.000 0.228 0.000
Cs: 0.000 0.618 0.500
Cs: 0.228 0.000 0.000
Cs: 0.382 0.382 0.500
Cs: 0.618 0.000 0.500
Cs: 0.772 0.772 0.000
Rb: 0.333 0.667 0.000
Rb: 0.667 0.333 0.000
Hg: 0.000 0.000 0.500

---

2.
Diffraction record for Cs5Rb3Hg. The powder XRD pattern is calculated, not measured: it uses a DFT-relaxed cell (GGA-PBE, Alexandria) and copper Kα.
Kinematic intensities with the Lorentz-polarization factor, no thermal factor.

Top 6 peaks for 2θ from 10° to 90°, low angle first:
- d = 7.794 Å, 11.35 deg, I = 42.2
- d = 4.502 Å, 19.72 deg, I = 100.0
- d = 4.384 Å, 20.25 deg, I = 33.8
- d = 3.980 Å, 22.34 deg, I = 32.0
- d = 3.897 Å, 22.82 deg, I = 68.8
- d = 3.228 Å, 27.64 deg, I = 33.8

Structural model:
Lattice parameters (Å, degrees): 13.510 13.510 14.059 120.33 120.33 70.46
Fractional positions:
Cs: 0.054 0.054 0.737
Cs: 0.157 0.622 0.555
Cs: 0.201 0.799 0.000
Cs: 0.338 0.338 0.099
Cs: 0.378 0.843 0.445
Cs: 0.622 0.157 0.555
Cs: 0.662 0.662 0.901
Cs: 0.799 0.201 0.000
Cs: 0.843 0.378 0.445
Cs: 0.946 0.946 0.263
Rb: 0.216 0.216 0.308
Rb: 0.252 0.252 0.666
Rb: 0.500 0.500 0.000
Rb: 0.500 0.500 0.500
Rb: 0.748 0.748 0.334
Rb: 0.784 0.784 0.692
Hg: 0.427 0.427 0.678
Hg: 0.573 0.573 0.322

---

3.
Diffraction record for Cs8Rb3Hg3. The powder XRD pattern is calculated, not measured: it uses a DFT-relaxed cell (GGA-PBE, Alexandria) and copper Kα.
Kinematic intensities with the Lorentz-polarization factor, no thermal factor.

Top 6 peaks for 2θ from 10° to 90°, low angle first:
- d = 4.186 Å, 21.22 deg, I = 41.5
- d = 4.016 Å, 22.13 deg, I = 65.9
- d = 3.694 Å, 24.09 deg, I = 100.0
- d = 3.678 Å, 24.20 deg, I = 57.1
- d = 3.218 Å, 27.72 deg, I = 33.4
- d = 1.847 Å, 49.33 deg, I = 32.3

Structural model:
Lattice parameters (Å, degrees): 13.251 13.251 13.276 115.05 115.05 32.38
Fractional positions:
Cs: 0.020 0.020 0.346
Cs: 0.138 0.138 0.078
Cs: 0.358 0.358 0.568
Cs: 0.366 0.366 0.195
Cs: 0.634 0.634 0.805
Cs: 0.642 0.642 0.432
Cs: 0.862 0.862 0.922
Cs: 0.980 0.980 0.654
Rb: 0.226 0.226 0.707
Rb: 0.500 0.500 0.000
Rb: 0.774 0.774 0.293
Hg: 0.189 0.189 0.392
Hg: 0.500 0.500 0.500
Hg: 0.811 0.811 0.608

---

4.
Diffraction record for CsRb3Hg6. The powder XRD pattern is calculated, not measured: it uses a DFT-relaxed cell (GGA-PBE, Alexandria) and copper Kα.
Kinematic intensities with the Lorentz-polarization factor, no thermal factor.

Top 6 peaks for 2θ from 10° to 90°, low angle first:
- d = 4.665 Å, 19.02 deg, I = 58.7
- d = 3.584 Å, 24.84 deg, I = 32.6
- d = 3.232 Å, 27.60 deg, I = 100.0
- d = 2.918 Å, 30.63 deg, I = 49.1
- d = 2.588 Å, 34.66 deg, I = 46.3
- d = 2.263 Å, 39.83 deg, I = 32.4

Structural model:
Lattice parameters (Å, degrees): 9.951 9.951 9.951 102.56 102.56 102.56
Fractional positions:
Cs: 0.000 0.000 0.000
Cs: 0.500 0.500 0.500
Rb: 0.165 0.750 0.335
Rb: 0.250 0.665 0.835
Rb: 0.335 0.165 0.750
Rb: 0.665 0.835 0.250
Rb: 0.750 0.335 0.165
Rb: 0.835 0.250 0.665
Hg: 0.052 0.090 0.405
Hg: 0.090 0.405 0.052
Hg: 0.095 0.410 0.448
Hg: 0.405 0.052 0.090
Hg: 0.410 0.448 0.095
Hg: 0.448 0.095 0.410
Hg: 0.552 0.905 0.590
Hg: 0.590 0.552 0.905
Hg: 0.595 0.948 0.910
Hg: 0.905 0.590 0.552
Hg: 0.910 0.595 0.948
Hg: 0.948 0.910 0.595

---

5.
Diffraction record for CsRb2Hg. The powder XRD pattern is calculated, not measured: it uses a DFT-relaxed cell (GGA-PBE, Alexandria) and copper Kα.
Kinematic intensities with the Lorentz-polarization factor, no thermal factor.

Top 6 peaks for 2θ from 10° to 90°, low angle first:
- d = 6.733 Å, 13.15 deg, I = 42.8
- d = 3.625 Å, 24.56 deg, I = 82.1
- d = 3.429 Å, 25.98 deg, I = 100.0
- d = 3.367 Å, 26.47 deg, I = 29.4
- d = 3.052 Å, 29.26 deg, I = 46.7
- d = 2.894 Å, 30.90 deg, I = 48.7

Structural model:
Lattice parameters (Å, degrees): 12.439 9.066 11.283 90.00 116.92 90.00
Fractional positions:
Cs: 0.000 0.000 0.193
Cs: 0.000 0.000 0.807
Cs: 0.000 0.500 0.307
Cs: 0.000 0.500 0.693
Rb: 0.296 0.190 0.648
Rb: 0.296 0.310 0.148
Rb: 0.358 0.750 0.430
Rb: 0.358 0.750 0.930
Rb: 0.642 0.250 0.070
Rb: 0.642 0.250 0.570
Rb: 0.704 0.690 0.852
Rb: 0.704 0.810 0.352
Hg: 0.080 0.642 0.040
Hg: 0.080 0.858 0.540
Hg: 0.920 0.142 0.460
Hg: 0.920 0.358 0.960

---

6.
Diffraction record for Cs3Rb4Hg2. The powder XRD pattern is calculated, not measured: it uses a DFT-relaxed cell (GGA-PBE, Alexandria) and copper Kα.
Kinematic intensities with the Lorentz-polarization factor, no thermal factor.

Top 6 peaks for 2θ from 10° to 90°, low angle first:
- d = 8.084 Å, 10.94 deg, I = 100.0
- d = 4.082 Å, 21.77 deg, I = 77.2
- d = 3.943 Å, 22.55 deg, I = 41.1
- d = 3.594 Å, 24.77 deg, I = 57.4
- d = 3.357 Å, 26.55 deg, I = 43.7
- d = 3.039 Å, 29.39 deg, I = 48.8

Structural model:
Lattice parameters (Å, degrees): 12.041 12.041 10.084 102.78 102.78 73.46
Fractional positions:
Cs: 0.078 0.922 0.750
Cs: 0.258 0.484 0.797
Cs: 0.484 0.258 0.297
Cs: 0.516 0.742 0.703
Cs: 0.742 0.516 0.203
Cs: 0.922 0.078 0.250
Rb: 0.114 0.270 0.053
Rb: 0.154 0.632 0.345
Rb: 0.270 0.114 0.553
Rb: 0.368 0.846 0.155
Rb: 0.632 0.154 0.845
Rb: 0.730 0.886 0.447
Rb: 0.846 0.368 0.655
Rb: 0.886 0.730 0.947
Hg: 0.053 0.379 0.421
Hg: 0.379 0.053 0.921
Hg: 0.621 0.947 0.079
Hg: 0.947 0.621 0.579

---

7.
Diffraction record for Cs4Rb3Hg. The powder XRD pattern is calculated, not measured: it uses a DFT-relaxed cell (GGA-PBE, Alexandria) and copper Kα.
Kinematic intensities with the Lorentz-polarization factor, no thermal factor.

Top 6 peaks for 2θ from 10° to 90°, low angle first:
- d = 4.055 Å, 21.92 deg, I = 100.0
- d = 3.792 Å, 23.46 deg, I = 25.1
- d = 3.709 Å, 23.99 deg, I = 42.7
- d = 2.961 Å, 30.18 deg, I = 22.4
- d = 2.703 Å, 33.14 deg, I = 21.3
- d = 2.652 Å, 33.81 deg, I = 19.7

Structural model:
Lattice parameters (Å, degrees): 7.418 15.168 12.591 90.00 90.00 90.00
Fractional positions:
Cs: 0.250 0.016 0.176
Cs: 0.250 0.250 0.890
Cs: 0.250 0.484 0.176
Cs: 0.250 0.750 0.500
Cs: 0.750 0.250 0.500
Cs: 0.750 0.516 0.824
Cs: 0.750 0.750 0.110
Cs: 0.750 0.984 0.824
Rb: 0.250 0.075 0.568
Rb: 0.250 0.425 0.568
Rb: 0.250 0.750 0.849
Rb: 0.750 0.250 0.151
Rb: 0.750 0.575 0.432
Rb: 0.750 0.925 0.432
Hg: 0.250 0.250 0.330
Hg: 0.750 0.750 0.670

---

8.
Diffraction record for Cs3Rb3Hg. The powder XRD pattern is calculated, not measured: it uses a DFT-relaxed cell (GGA-PBE, Alexandria) and copper Kα.
Kinematic intensities with the Lorentz-polarization factor, no thermal factor.

Top 6 peaks for 2θ from 10° to 90°, low angle first:
- d = 6.752 Å, 13.11 deg, I = 20.0
- d = 3.898 Å, 22.81 deg, I = 42.5
- d = 3.837 Å, 23.18 deg, I = 100.0
- d = 3.149 Å, 28.34 deg, I = 27.4
- d = 2.333 Å, 38.58 deg, I = 33.9
- d = 1.941 Å, 46.81 deg, I = 20.1

Structural model:
Lattice parameters (Å, degrees): 15.592 15.592 5.818 90.00 90.00 120.00
Fractional positions:
Cs: 0.165 0.330 0.250
Cs: 0.165 0.835 0.250
Cs: 0.330 0.165 0.750
Cs: 0.670 0.835 0.250
Cs: 0.835 0.165 0.750
Cs: 0.835 0.670 0.750
Rb: 0.137 0.568 0.750
Rb: 0.432 0.568 0.750
Rb: 0.432 0.863 0.750
Rb: 0.568 0.137 0.250
Rb: 0.568 0.432 0.250
Rb: 0.863 0.432 0.250
Hg: 0.333 0.667 0.250
Hg: 0.667 0.333 0.750

---

9.
Diffraction record for Cs12Rb7Hg. The powder XRD pattern is calculated, not measured: it uses a DFT-relaxed cell (GGA-PBE, Alexandria) and copper Kα.
Kinematic intensities with the Lorentz-polarization factor, no thermal factor.

Top 6 peaks for 2θ from 10° to 90°, low angle first:
- d = 4.570 Å, 19.42 deg, I = 40.6
- d = 4.298 Å, 20.67 deg, I = 39.3
- d = 4.255 Å, 20.88 deg, I = 53.3
- d = 4.226 Å, 21.02 deg, I = 100.0
- d = 3.976 Å, 22.36 deg, I = 78.2
- d = 3.576 Å, 24.90 deg, I = 28.5

Structural model:
Lattice parameters (Å, degrees): 13.712 13.712 13.712 109.09 109.09 109.09
Fractional positions:
Cs: 0.071 0.814 0.274
Cs: 0.186 0.726 0.929
Cs: 0.187 0.266 0.446
Cs: 0.266 0.446 0.187
Cs: 0.274 0.071 0.814
Cs: 0.446 0.187 0.266
Cs: 0.554 0.813 0.734
Cs: 0.726 0.929 0.186
Cs: 0.734 0.554 0.813
Cs: 0.813 0.734 0.554
Cs: 0.814 0.274 0.071
Cs: 0.929 0.186 0.726
Rb: 0.000 0.000 0.000
Rb: 0.153 0.634 0.503
Rb: 0.366 0.497 0.847
Rb: 0.497 0.847 0.366
Rb: 0.503 0.153 0.634
Rb: 0.634 0.503 0.153
Rb: 0.847 0.366 0.497
Hg: 0.500 0.500 0.500

---

10.
Diffraction record for Cs12RbHg7. The powder XRD pattern is calculated, not measured: it uses a DFT-relaxed cell (GGA-PBE, Alexandria) and copper Kα.
Kinematic intensities with the Lorentz-polarization factor, no thermal factor.

Top 6 peaks for 2θ from 10° to 90°, low angle first:
- d = 3.368 Å, 26.47 deg, I = 100.0
- d = 3.280 Å, 27.19 deg, I = 97.2
- d = 2.350 Å, 38.30 deg, I = 36.7
- d = 1.944 Å, 46.72 deg, I = 17.3
- d = 1.927 Å, 47.16 deg, I = 40.1
- d = 1.878 Å, 48.48 deg, I = 17.9

Structural model:
Lattice parameters (Å, degrees): 14.268 14.268 14.268 116.65 116.65 116.65
Fractional positions:
Cs: 0.042 0.342 0.139
Cs: 0.139 0.042 0.342
Cs: 0.219 0.753 0.614
Cs: 0.247 0.386 0.781
Cs: 0.342 0.139 0.042
Cs: 0.386 0.781 0.247
Cs: 0.614 0.219 0.753
Cs: 0.658 0.861 0.958
Cs: 0.753 0.614 0.219
Cs: 0.781 0.247 0.386
Cs: 0.861 0.958 0.658
Cs: 0.958 0.658 0.861
Rb: 0.500 0.500 0.500
Hg: 0.000 0.000 0.000
Hg: 0.155 0.371 0.462
Hg: 0.371 0.462 0.155
Hg: 0.462 0.155 0.371
Hg: 0.538 0.845 0.629
Hg: 0.629 0.538 0.845
Hg: 0.845 0.629 0.538

---

11.
Diffraction record for Cs23Rb6Hg. The powder XRD pattern is calculated, not measured: it uses a DFT-relaxed cell (GGA-PBE, Alexandria) and copper Kα.
Kinematic intensities with the Lorentz-polarization factor, no thermal factor.

Top 6 peaks for 2θ from 10° to 90°, low angle first:
- d = 6.840 Å, 12.94 deg, I = 17.7
- d = 4.560 Å, 19.47 deg, I = 46.1
- d = 4.188 Å, 21.21 deg, I = 100.0
- d = 3.572 Å, 24.93 deg, I = 32.1
- d = 2.418 Å, 37.18 deg, I = 21.5
- d = 2.381 Å, 37.78 deg, I = 21.0

Structural model:
Lattice parameters (Å, degrees): 16.754 16.754 16.754 60.00 60.00 60.00
Fractional positions:
Cs: 0.000 0.000 0.000
Cs: 0.000 0.000 0.500
Cs: 0.000 0.500 0.000
Cs: 0.000 0.500 0.500
Cs: 0.025 0.658 0.658
Cs: 0.119 0.119 0.119
Cs: 0.119 0.119 0.644
Cs: 0.119 0.644 0.119
Cs: 0.342 0.342 0.342
Cs: 0.342 0.342 0.975
Cs: 0.342 0.975 0.342
Cs: 0.356 0.881 0.881
Cs: 0.500 0.000 0.000
Cs: 0.500 0.000 0.500
Cs: 0.500 0.500 0.000
Cs: 0.644 0.119 0.119
Cs: 0.658 0.025 0.658
Cs: 0.658 0.658 0.025
Cs: 0.658 0.658 0.658
Cs: 0.881 0.356 0.881
Cs: 0.881 0.881 0.356
Cs: 0.881 0.881 0.881
Cs: 0.975 0.342 0.342
Rb: 0.332 0.332 0.668
Rb: 0.332 0.668 0.332
Rb: 0.332 0.668 0.668
Rb: 0.668 0.332 0.332
Rb: 0.668 0.332 0.668
Rb: 0.668 0.668 0.332
Hg: 0.500 0.500 0.500